Entry 1:
For TbGa2Ru2, a PBE-relaxed structure gives the simulated XRD peak list in this record (a wavelength of 1.5418 Å).
No peak broadening, texture or thermal motion is included.

Main lines, sorted by position (2θ from 10° to 80°):
two_theta, I/Imax
33.99, 32
34.48, 65
34.90, 34
35.52, 46
36.18, 41
40.08, 100
55.10, 19
57.97, 33
68.92, 18
69.74, 16

Structure:
Cell: 4.500 4.500 5.461 Å, 113.37 113.37 89.90°
Atoms (fractional coordinates):
Tb  0.000  0.000  0.000
Ga  0.353  0.353  0.717
Ga  0.647  0.647  0.283
Ru  0.252  0.748  0.500
Ru  0.748  0.252  0.500

Entry 2:
For Tb4Ga6Ru7, a PBE-relaxed structure gives the simulated XRD peak list in this record (a wavelength of 1.5418 Å).
No peak broadening, texture or thermal motion is included.

Main lines, sorted by position (2θ from 10° to 80°):
two_theta, I/Imax
30.05, 26
37.02, 100
40.11, 18
43.01, 62
50.92, 12
62.45, 34
70.85, 9
74.88, 28
76.86, 7
78.83, 10

Structure:
Cell: 7.285 7.285 7.285 Å, 109.47 109.47 109.47°
Atoms (fractional coordinates):
Tb  0.000  0.000  0.500
Tb  0.000  0.500  0.000
Tb  0.500  0.000  0.000
Tb  0.500  0.500  0.500
Ga  0.000  0.310  0.310
Ga  0.000  0.690  0.690
Ga  0.310  0.000  0.310
Ga  0.310  0.310  0.000
Ga  0.690  0.000  0.690
Ga  0.690  0.690  0.000
Ru  0.000  0.000  0.000
Ru  0.250  0.500  0.750
Ru  0.250  0.750  0.500
Ru  0.500  0.250  0.750
Ru  0.500  0.750  0.250
Ru  0.750  0.250  0.500
Ru  0.750  0.500  0.250

Entry 3:
For UGaTcRu, a PBE-relaxed structure gives the simulated XRD peak list in this record (a wavelength of 1.5418 Å).
No peak broadening, texture or thermal motion is included.

Main lines, sorted by position (2θ from 10° to 80°):
two_theta, I/Imax
20.35, 11
20.89, 11
39.01, 100
41.37, 21
42.52, 20
51.65, 11
60.83, 14
68.23, 10
73.87, 15
75.46, 15

Structure:
Cell: 3.539 4.252 4.365 Å, 90.00 90.00 90.00°
Atoms (fractional coordinates):
U  0.000  0.000  0.000
Ga  0.000  0.500  0.500
Tc  0.500  0.500  0.000
Ru  0.500  0.000  0.500

Entry 4:
For ThGa3Ru, a PBE-relaxed structure gives the simulated XRD peak list in this record (a wavelength of 1.5418 Å).
No peak broadening, texture or thermal motion is included.

Main lines, sorted by position (2θ from 10° to 80°):
two_theta, I/Imax
18.99, 26
24.01, 29
27.57, 46
33.69, 38
35.35, 29
36.33, 100
36.52, 61
36.91, 42
39.78, 34
49.29, 42

Structure:
Cell: 4.536 6.471 6.763 Å, 90.00 92.21 90.00°
Atoms (fractional coordinates):
Th  0.209  0.250  0.307
Th  0.791  0.750  0.693
Ga  0.278  0.750  0.395
Ga  0.314  0.054  0.836
Ga  0.314  0.446  0.836
Ga  0.686  0.554  0.164
Ga  0.686  0.946  0.164
Ga  0.722  0.250  0.605
Ru  0.150  0.750  0.033
Ru  0.850  0.250  0.967

Entry 5:
For ThGa4Ru3, a PBE-relaxed structure gives the simulated XRD peak list in this record (a wavelength of 1.5418 Å).
No peak broadening, texture or thermal motion is included.

Main lines, sorted by position (2θ from 10° to 80°):
two_theta, I/Imax
23.94, 8
25.37, 11
28.82, 11
31.56, 13
38.76, 100
41.21, 48
59.69, 16
60.63, 9
68.50, 12
73.48, 30

Structure:
Cell: 4.382 4.382 7.021 Å, 90.00 90.00 90.00°
Atoms (fractional coordinates):
Th  0.000  0.000  0.000
Ga  0.000  0.500  0.299
Ga  0.000  0.500  0.701
Ga  0.500  0.000  0.299
Ga  0.500  0.000  0.701
Ru  0.000  0.000  0.500
Ru  0.500  0.500  0.000
Ru  0.500  0.500  0.500

Entry 6:
For Th2Ga6Ru, a PBE-relaxed structure gives the simulated XRD peak list in this record (a wavelength of 1.5418 Å).
No peak broadening, texture or thermal motion is included.

Main lines, sorted by position (2θ from 10° to 80°):
two_theta, I/Imax
19.90, 17
28.29, 85
34.83, 100
40.44, 79
44.25, 17
45.47, 15
50.09, 29
58.52, 48
66.25, 23
69.94, 31

Structure:
Cell: 6.309 6.309 6.309 Å, 60.00 60.00 60.00°
Atoms (fractional coordinates):
Th  0.250  0.250  0.250
Th  0.750  0.750  0.750
Ga  0.216  0.216  0.784
Ga  0.216  0.784  0.216
Ga  0.216  0.784  0.784
Ga  0.784  0.216  0.216
Ga  0.784  0.216  0.784
Ga  0.784  0.784  0.216
Ru  0.500  0.500  0.500

Entry 7:
For Th4Ga6Ru7, a PBE-relaxed structure gives the simulated XRD peak list in this record (a wavelength of 1.5418 Å).
No peak broadening, texture or thermal motion is included.

Main lines, sorted by position (2θ from 10° to 80°):
two_theta, I/Imax
20.79, 15
29.56, 49
36.41, 100
39.45, 14
42.30, 61
47.58, 15
52.45, 13
61.36, 34
69.56, 15
73.50, 30

Structure:
Cell: 7.402 7.402 7.402 Å, 109.47 109.47 109.47°
Atoms (fractional coordinates):
Th  0.000  0.000  0.500
Th  0.000  0.500  0.000
Th  0.500  0.000  0.000
Th  0.500  0.500  0.500
Ga  0.000  0.317  0.317
Ga  0.000  0.683  0.683
Ga  0.317  0.000  0.317
Ga  0.317  0.317  0.000
Ga  0.683  0.000  0.683
Ga  0.683  0.683  0.000
Ru  0.000  0.000  0.000
Ru  0.250  0.500  0.750
Ru  0.250  0.750  0.500
Ru  0.500  0.250  0.750
Ru  0.500  0.750  0.250
Ru  0.750  0.250  0.500
Ru  0.750  0.500  0.250

Entry 8:
For TmGa3Ru2, a PBE-relaxed structure gives the simulated XRD peak list in this record (a wavelength of 1.5418 Å).
No peak broadening, texture or thermal motion is included.

Main lines, sorted by position (2θ from 10° to 80°):
two_theta, I/Imax
28.89, 23
33.48, 37
38.85, 22
40.10, 100
43.65, 23
56.11, 17
59.85, 19
64.33, 24
70.35, 16
77.75, 17

Structure:
Cell: 5.353 5.353 8.295 Å, 90.00 90.00 120.00°
Atoms (fractional coordinates):
Tm  0.000  0.000  0.000
Tm  0.000  0.000  0.500
Ga  0.000  0.497  0.250
Ga  0.000  0.503  0.750
Ga  0.497  0.000  0.250
Ga  0.497  0.497  0.750
Ga  0.503  0.000  0.750
Ga  0.503  0.503  0.250
Ru  0.333  0.667  0.000
Ru  0.333  0.667  0.500
Ru  0.667  0.333  0.000
Ru  0.667  0.333  0.500

Q: Which formula does entry 7 have?
A: Th4Ga6Ru7

Q: Number 3 is which compound?
A: UGaTcRu

Repeat the second record exactly.
For Tb4Ga6Ru7, a PBE-relaxed structure gives the simulated XRD peak list in this record (a wavelength of 1.5418 Å).
No peak broadening, texture or thermal motion is included.

Main lines, sorted by position (2θ from 10° to 80°):
two_theta, I/Imax
30.05, 26
37.02, 100
40.11, 18
43.01, 62
50.92, 12
62.45, 34
70.85, 9
74.88, 28
76.86, 7
78.83, 10

Structure:
Cell: 7.285 7.285 7.285 Å, 109.47 109.47 109.47°
Atoms (fractional coordinates):
Tb  0.000  0.000  0.500
Tb  0.000  0.500  0.000
Tb  0.500  0.000  0.000
Tb  0.500  0.500  0.500
Ga  0.000  0.310  0.310
Ga  0.000  0.690  0.690
Ga  0.310  0.000  0.310
Ga  0.310  0.310  0.000
Ga  0.690  0.000  0.690
Ga  0.690  0.690  0.000
Ru  0.000  0.000  0.000
Ru  0.250  0.500  0.750
Ru  0.250  0.750  0.500
Ru  0.500  0.250  0.750
Ru  0.500  0.750  0.250
Ru  0.750  0.250  0.500
Ru  0.750  0.500  0.250